Ti4TlBi: theoretical powder X-ray diffraction pattern (copper Kα), based on a crystal structure in Alexandria, relaxed with PBE.
Intensities are scaled so that the largest is 100.

Peak list (12 most intense, 10° ≤ 2θ ≤ 90°, in order of rising 2θ)
2theta  d [Å]  I (rel.)
19.12  4.643  31.9
27.11  3.290  66.4
36.11  2.487  56.5
38.75  2.324  100.0
41.17  2.193  20.0
51.99  1.759  19.6
54.03  1.697  12.4
55.94  1.644  16.3
59.61  1.551  16.4
66.70  1.402  43.2
71.85  1.314  14.4
89.35  1.096  12.0

Crystal structure
Cell: 4.977 9.285 4.973 Å, 90.00 90.00 90.00°
Positions (direct):
Ti1 0.000 0.173 0.000
Ti2 0.000 0.326 0.500
Ti3 0.000 0.674 0.500
Ti4 0.000 0.827 0.000
Ti5 0.500 0.174 0.500
Ti6 0.500 0.327 0.000
Ti7 0.500 0.673 0.000
Ti8 0.500 0.826 0.500
Tl1 0.000 0.000 0.500
Tl2 0.500 0.500 0.500
Bi1 0.000 0.500 0.000
Bi2 0.500 0.000 0.000

=====

Ti3VBi2: theoretical powder X-ray diffraction pattern (copper Kα), based on a crystal structure in Alexandria, relaxed with PBE.
Intensities are scaled so that the largest is 100.

Peak list (12 most intense, 10° ≤ 2θ ≤ 90°, in order of rising 2θ)
2theta  d [Å]  I (rel.)
21.99  4.042  29.9
24.85  3.583  82.3
27.91  3.197  59.8
28.56  3.125  56.7
34.84  2.575  68.9
37.22  2.416  42.5
37.71  2.385  100.0
38.21  2.356  29.4
38.75  2.324  53.2
43.71  2.071  52.2
48.45  1.879  31.3
53.10  1.725  30.4

Crystal structure
Cell: 7.515 7.515 6.393 Å, 90.00 90.00 43.97°
Positions (direct):
Ti1 0.160 0.840 0.500
Ti2 0.281 0.460 0.809
Ti3 0.460 0.281 0.309
Ti4 0.540 0.719 0.809
Ti5 0.719 0.540 0.309
Ti6 0.840 0.160 0.000
V1 0.395 0.605 0.096
V2 0.605 0.395 0.596
Bi1 0.067 0.259 0.682
Bi2 0.259 0.067 0.182
Bi3 0.741 0.933 0.682
Bi4 0.933 0.741 0.182

=====

Ti5Zn2Bi: theoretical powder X-ray diffraction pattern (copper Kα), based on a crystal structure in Alexandria, relaxed with PBE.
Intensities are scaled so that the largest is 100.

Peak list (12 most intense, 10° ≤ 2θ ≤ 90°, in order of rising 2θ)
2theta  d [Å]  I (rel.)
18.01  4.924  33.9
23.63  3.765  80.0
25.58  3.482  23.7
29.87  2.991  33.0
35.74  2.512  46.0
36.49  2.462  28.2
36.96  2.432  85.9
40.30  2.238  40.9
40.98  2.202  100.0
50.39  1.811  21.5
52.00  1.758  34.3
78.60  1.217  20.9

Crystal structure
Cell: 7.641 7.641 7.641 Å, 125.78 125.78 80.25°
Positions (direct):
Ti1 0.000 0.000 0.000
Ti2 0.001 0.501 0.197
Ti3 0.196 0.999 0.500
Ti4 0.304 0.804 0.803
Ti5 0.499 0.696 0.500
Ti6 0.500 0.500 0.000
Ti7 0.501 0.304 0.500
Ti8 0.696 0.196 0.197
Ti9 0.804 0.001 0.500
Ti10 0.999 0.499 0.803
Zn1 0.141 0.359 0.500
Zn2 0.359 0.859 0.219
Zn3 0.641 0.141 0.781
Zn4 0.859 0.641 0.500
Bi1 0.250 0.250 0.000
Bi2 0.750 0.750 0.000

=====

Ti4ZnBi: theoretical powder X-ray diffraction pattern (copper Kα), based on a crystal structure in Alexandria, relaxed with PBE.
Intensities are scaled so that the largest is 100.

Peak list (12 most intense, 10° ≤ 2θ ≤ 90°, in order of rising 2θ)
2theta  d [Å]  I (rel.)
18.59  4.772  13.0
18.87  4.702  19.7
20.76  4.279  19.3
26.62  3.349  12.3
28.01  3.186  39.0
37.43  2.403  28.6
37.70  2.386  28.0
39.16  2.300  100.0
54.17  1.693  18.9
68.68  1.367  18.0
69.04  1.360  17.7
84.19  1.150  11.3

Crystal structure
Cell: 4.806 9.404 4.772 Å, 90.00 90.00 90.00°
Positions (direct):
Ti1 0.000 0.169 0.000
Ti2 0.000 0.325 0.500
Ti3 0.000 0.675 0.500
Ti4 0.000 0.831 0.000
Ti5 0.500 0.175 0.500
Ti6 0.500 0.331 0.000
Ti7 0.500 0.669 0.000
Ti8 0.500 0.825 0.500
Zn1 0.000 0.000 0.500
Zn2 0.500 0.500 0.500
Bi1 0.000 0.500 0.000
Bi2 0.500 0.000 0.000

=====

Zr5Ti2Bi5: theoretical powder X-ray diffraction pattern (copper Kα), based on a crystal structure in Alexandria, relaxed with PBE.
Intensities are scaled so that the largest is 100.

Peak list (12 most intense, 10° ≤ 2θ ≤ 90°, in order of rising 2θ)
2theta  d [Å]  I (rel.)
24.87  3.580  24.3
27.50  3.244  16.2
30.37  2.943  29.0
33.67  2.662  100.0
35.44  2.533  95.9
35.55  2.526  53.0
37.00  2.430  16.8
38.90  2.315  17.6
39.69  2.271  17.1
47.03  1.932  28.6
60.31  1.535  23.0
62.12  1.494  17.5

Crystal structure
Cell: 7.569 7.569 11.645 Å, 118.75 118.75 29.58°
Positions (direct):
Zr1 0.000 0.000 0.000
Zr2 0.121 0.121 0.755
Zr3 0.165 0.165 0.502
Zr4 0.835 0.835 0.498
Zr5 0.879 0.879 0.245
Ti1 0.442 0.442 0.728
Ti2 0.558 0.558 0.272
Bi1 0.210 0.210 0.265
Bi2 0.355 0.355 0.026
Bi3 0.500 0.500 0.500
Bi4 0.645 0.645 0.974
Bi5 0.790 0.790 0.735

=====

Zr3TiBi: theoretical powder X-ray diffraction pattern (copper Kα), based on a crystal structure in Alexandria, relaxed with PBE.
Intensities are scaled so that the largest is 100.

Peak list (12 most intense, 10° ≤ 2θ ≤ 90°, in order of rising 2θ)
2theta  d [Å]  I (rel.)
24.92  3.573  17.5
28.93  3.086  31.0
31.65  2.827  17.4
33.30  2.690  100.0
33.68  2.661  33.9
34.65  2.589  39.5
34.98  2.565  47.5
36.75  2.446  58.6
37.37  2.406  52.0
37.78  2.381  32.7
38.83  2.319  28.6
52.85  1.732  18.1

Crystal structure
Cell: 3.368 7.348 9.829 Å, 100.68 99.70 100.26°
Positions (direct):
Zr1 0.000 0.000 0.000
Zr2 0.040 0.663 0.424
Zr3 0.193 0.586 0.940
Zr4 0.261 0.239 0.372
Zr5 0.451 0.199 0.787
Zr6 0.570 0.755 0.719
Ti1 0.775 0.021 0.545
Ti2 0.928 0.414 0.625
Bi1 0.545 0.878 0.233
Bi2 0.704 0.360 0.127

=====

Zr3Ti2Bi3: theoretical powder X-ray diffraction pattern (copper Kα), based on a crystal structure in Alexandria, relaxed with PBE.
Intensities are scaled so that the largest is 100.

Peak list (12 most intense, 10° ≤ 2θ ≤ 90°, in order of rising 2θ)
2theta  d [Å]  I (rel.)
20.88  4.254  24.7
26.11  3.412  36.6
31.30  2.858  34.4
35.87  2.503  100.0
36.59  2.456  22.0
37.93  2.372  36.1
39.93  2.258  14.6
45.50  1.993  16.9
47.24  1.924  32.9
58.72  1.572  24.1
67.20  1.393  17.6
72.12  1.310  22.0

Crystal structure
Cell: 8.507 8.507 5.716 Å, 90.00 90.00 120.00°
Positions (direct):
Zr1 0.000 0.232 0.250
Zr2 0.000 0.768 0.750
Zr3 0.232 0.000 0.250
Zr4 0.232 0.232 0.750
Zr5 0.768 0.000 0.750
Zr6 0.768 0.768 0.250
Ti1 0.333 0.667 0.000
Ti2 0.333 0.667 0.500
Ti3 0.667 0.333 0.000
Ti4 0.667 0.333 0.500
Bi1 0.000 0.400 0.750
Bi2 0.000 0.600 0.250
Bi3 0.400 0.000 0.750
Bi4 0.400 0.400 0.250
Bi5 0.600 0.000 0.250
Bi6 0.600 0.600 0.750

=====

Tl13Bi2: theoretical powder X-ray diffraction pattern (copper Kα), based on a crystal structure in Alexandria, relaxed with PBE.
Intensities are scaled so that the largest is 100.

Peak list (12 most intense, 10° ≤ 2θ ≤ 90°, in order of rising 2θ)
2theta  d [Å]  I (rel.)
30.89  2.895  100.0
31.00  2.884  49.5
31.36  2.852  48.1
34.49  2.600  37.5
35.16  2.553  35.6
38.23  2.354  28.5
49.68  1.835  13.6
50.47  1.808  13.0
52.64  1.739  23.0
60.12  1.539  15.4
64.43  1.446  12.6
64.60  1.443  18.7

Crystal structure
Cell: 5.904 8.678 9.623 Å, 106.20 95.27 94.26°
Positions (direct):
Tl1 0.000 0.000 0.000
Tl2 0.131 0.265 0.798
Tl3 0.204 0.396 0.204
Tl4 0.262 0.533 0.601
Tl5 0.332 0.661 0.999
Tl6 0.400 0.796 0.397
Tl7 0.469 0.938 0.802
Tl8 0.531 0.062 0.198
Tl9 0.600 0.204 0.603
Tl10 0.668 0.339 0.001
Tl11 0.738 0.467 0.399
Tl12 0.796 0.604 0.796
Tl13 0.869 0.735 0.202
Bi1 0.065 0.132 0.406
Bi2 0.935 0.868 0.594

=====

Tl17Bi2: theoretical powder X-ray diffraction pattern (copper Kα), based on a crystal structure in Alexandria, relaxed with PBE.
Intensities are scaled so that the largest is 100.

Peak list (12 most intense, 10° ≤ 2θ ≤ 90°, in order of rising 2θ)
2theta  d [Å]  I (rel.)
27.47  3.247  37.2
30.38  2.943  27.1
31.47  2.843  100.0
31.83  2.812  52.0
34.40  2.607  68.9
35.38  2.537  98.1
51.14  1.786  26.3
53.16  1.723  40.9
56.71  1.623  37.2
57.26  1.609  35.1
65.69  1.421  18.6
68.03  1.378  19.7

Crystal structure
Cell: 8.763 8.763 8.763 Å, 79.83 79.83 79.83°
Positions (direct):
Tl1 0.000 0.000 0.500
Tl2 0.000 0.334 0.666
Tl3 0.000 0.500 0.000
Tl4 0.000 0.666 0.334
Tl5 0.090 0.090 0.090
Tl6 0.166 0.663 0.663
Tl7 0.334 0.000 0.666
Tl8 0.334 0.666 0.000
Tl9 0.337 0.337 0.834
Tl10 0.337 0.834 0.337
Tl11 0.500 0.000 0.000
Tl12 0.663 0.166 0.663
Tl13 0.663 0.663 0.166
Tl14 0.666 0.000 0.334
Tl15 0.666 0.334 0.000
Tl16 0.834 0.337 0.337
Tl17 0.910 0.910 0.910
Bi1 0.276 0.276 0.276
Bi2 0.724 0.724 0.724

=====

Tl2Bi3: theoretical powder X-ray diffraction pattern (copper Kα), based on a crystal structure in Alexandria, relaxed with PBE.
Intensities are scaled so that the largest is 100.

Peak list (12 most intense, 10° ≤ 2θ ≤ 90°, in order of rising 2θ)
2theta  d [Å]  I (rel.)
28.19  3.165  100.0
30.64  2.918  26.8
31.98  2.798  74.7
32.36  2.767  15.9
36.04  2.492  56.1
46.69  1.945  14.2
48.04  1.894  15.8
51.87  1.763  17.5
55.80  1.647  31.0
60.39  1.533  13.6
63.83  1.458  16.1
70.74  1.332  15.6

Crystal structure
Cell: 4.979 7.193 9.984 Å, 90.00 90.00 90.00°
Positions (direct):
Tl1 0.000 0.000 0.217
Tl2 0.000 0.000 0.783
Tl3 0.500 0.500 0.283
Tl4 0.500 0.500 0.717
Bi1 0.000 0.284 0.500
Bi2 0.000 0.500 0.000
Bi3 0.000 0.716 0.500
Bi4 0.500 0.000 0.500
Bi5 0.500 0.216 0.000
Bi6 0.500 0.784 0.000

=====

Tl15Bi: theoretical powder X-ray diffraction pattern (copper Kα), based on a crystal structure in Alexandria, relaxed with PBE.
Intensities are scaled so that the largest is 100.

Peak list (12 most intense, 10° ≤ 2θ ≤ 90°, in order of rising 2θ)
2theta  d [Å]  I (rel.)
28.56  3.126  23.9
32.24  2.777  23.4
32.88  2.724  100.0
43.60  2.076  15.5
50.58  1.805  20.3
57.90  1.593  20.4
61.26  1.513  23.0
61.65  1.504  16.9
68.95  1.362  4.1
80.42  1.194  8.1
83.69  1.156  14.8
88.95  1.100  8.7

Crystal structure
Cell: 7.219 7.219 11.106 Å, 90.00 90.00 120.00°
Positions (direct):
Tl1 0.000 0.000 0.000
Tl2 0.003 0.502 0.000
Tl3 0.004 0.502 0.500
Tl4 0.333 0.667 0.246
Tl5 0.333 0.667 0.754
Tl6 0.335 0.168 0.250
Tl7 0.335 0.168 0.750
Tl8 0.498 0.502 0.000
Tl9 0.498 0.502 0.500
Tl10 0.498 0.996 0.500
Tl11 0.498 0.997 0.000
Tl12 0.832 0.168 0.250
Tl13 0.832 0.168 0.750
Tl14 0.832 0.665 0.250
Tl15 0.832 0.665 0.750
Bi1 0.000 0.000 0.500

=====

TlBi4: theoretical powder X-ray diffraction pattern (copper Kα), based on a crystal structure in Alexandria, relaxed with PBE.
Intensities are scaled so that the largest is 100.

Peak list (12 most intense, 10° ≤ 2θ ≤ 90°, in order of rising 2θ)
2theta  d [Å]  I (rel.)
30.55  2.926  94.1
30.84  2.899  100.0
31.88  2.807  46.0
37.32  2.409  55.9
49.88  1.828  49.8
55.97  1.643  17.8
56.15  1.638  19.2
62.98  1.476  19.4
63.48  1.465  24.6
64.25  1.450  12.9
78.93  1.213  13.6
88.30  1.107  14.2

Crystal structure
Cell: 3.386 5.615 17.145 Å, 90.00 90.00 90.00°
Positions (direct):
Tl1 0.000 0.000 0.000
Tl2 0.500 0.500 0.500
Bi1 0.000 0.000 0.214
Bi2 0.000 0.000 0.404
Bi3 0.000 0.000 0.596
Bi4 0.000 0.000 0.786
Bi5 0.500 0.500 0.096
Bi6 0.500 0.500 0.286
Bi7 0.500 0.500 0.714
Bi8 0.500 0.500 0.904

=====

Tl5Bi4: theoretical powder X-ray diffraction pattern (copper Kα), based on a crystal structure in Alexandria, relaxed with PBE.
Intensities are scaled so that the largest is 100.

Peak list (12 most intense, 10° ≤ 2θ ≤ 90°, in order of rising 2θ)
2theta  d [Å]  I (rel.)
30.66  2.916  100.0
30.86  2.897  99.0
34.63  2.590  36.9
34.83  2.576  36.5
37.49  2.399  28.6
49.93  1.826  26.8
52.09  1.756  22.7
59.49  1.554  15.6
59.86  1.545  31.2
59.99  1.542  15.6
63.84  1.458  12.2
64.31  1.449  12.4

Crystal structure
Cell: 6.011 6.011 10.643 Å, 103.18 103.18 50.75°
Positions (direct):
Tl1 0.000 0.000 0.000
Tl2 0.331 0.331 0.109
Tl3 0.331 0.331 0.441
Tl4 0.669 0.669 0.559
Tl5 0.669 0.669 0.891
Bi1 0.005 0.005 0.665
Bi2 0.343 0.343 0.767
Bi3 0.657 0.657 0.233
Bi4 0.995 0.995 0.335